Structure and computed X-ray diffraction stick pattern of Tb4Y5Tm3 (DFT lattice parameters and positions (GGA-PBE); Cu Kα).
No peak broadening, texture or thermal motion is included.

Lattice parameters (Å, degrees): 6.1407 7.0989 8.6813 89.99 89.97 89.93
Atoms (fractional coordinates):
Tb (0.1663, 0.0000, 0.3351)
Tb (0.3340, 0.7501, 0.6674)
Tb (0.6660, 0.2499, 0.3326)
Tb (0.8337, 0.0000, 0.6649)
Y (0.0010, 0.2506, 0.0001)
Y (0.1687, 0.4999, 0.3338)
Y (0.5000, 0.0000, 0.0000)
Y (0.8313, 0.5001, 0.6662)
Y (0.9990, 0.7494, 0.9999)
Tm (0.3333, 0.2501, 0.6675)
Tm (0.5000, 0.5000, 0.0000)
Tm (0.6667, 0.7499, 0.3325)

Largest 10 diffraction maxima, by angle, 15 to 90 degrees two-theta:
2θ 30.88, I = 100; 2θ 35.81, I = 51; 2θ 51.54, I = 35; 2θ 61.29, I = 28; 2θ 61.34, I = 14; 2θ 64.31, I = 6; 2θ 84.07, I = 7; 2θ 84.19, I = 10; 2θ 86.80, I = 7; 2θ 86.89, I = 9

---

Structure and computed X-ray diffraction stick pattern of Tb2Y5Tm4 (DFT lattice parameters and positions (GGA-PBE); Cu Kα).
No peak broadening, texture or thermal motion is included.

Lattice parameters (Å, degrees): 12.4841 12.4841 12.4841 163.95 137.81 45.42
Atoms (fractional coordinates):
Tb (0.2310, 0.2310, 0.0000)
Tb (0.7690, 0.7690, 0.0000)
Y (0.1583, 0.3562, 0.8021)
Y (0.4459, 0.6438, 0.8021)
Y (0.5000, 0.0000, 0.5000)
Y (0.5541, 0.3562, 0.1979)
Y (0.8417, 0.6438, 0.1979)
Tm (0.0964, 0.0964, 0.0000)
Tm (0.1873, 0.5000, 0.6873)
Tm (0.8127, 0.5000, 0.3127)
Tm (0.9036, 0.9036, 0.0000)

Largest 10 diffraction maxima, by angle, 15 to 90 degrees two-theta:
2θ 27.45, I = 35; 2θ 28.54, I = 40; 2θ 30.63, I = 67; 2θ 31.06, I = 32; 2θ 32.07, I = 59; 2θ 32.75, I = 100; 2θ 36.22, I = 52; 2θ 37.59, I = 51; 2θ 48.56, I = 28; 2θ 62.00, I = 25